This entry pairs a crystal structure of LiMnP4O12 with its calculated powder diffractogram. Radiation: Cu Kα. Structure: the GGA+U geometry in the Materials Project.
No peak broadening, texture or thermal motion is included.

Most intense lines, 10° ≤ 2θ ≤ 80°, in order of falling intensity:
d = 5.202 Å, I = 100.0
d = 3.308 Å, I = 28.3
d = 2.722 Å, I = 16.1
d = 3.054 Å, I = 15.2
d = 3.808 Å, I = 13.4
d = 4.013 Å, I = 10.9
d = 4.429 Å, I = 9.0
d = 5.933 Å, I = 7.8
d = 3.361 Å, I = 7.7
d = 2.255 Å, I = 7.2

Cell and atoms:
```
LiMnP4O12
1.0
8.4381 -3.6117 0.0000
8.4381 3.6117 0.0000
-6.2888 0.0000 8.2886
Li Mn P O
2 2 8 24
direct
0.1463 0.8537 0.7500
0.8537 0.1463 0.2500
0.5000 0.5000 0.0000
0.5000 0.5000 0.5000
0.0563 0.2064 0.1006
0.1582 0.5345 0.2922
0.2064 0.0563 0.6006
0.4655 0.8418 0.2078
0.5345 0.1582 0.7922
0.7936 0.9437 0.3994
0.8418 0.4655 0.7078
0.9437 0.7936 0.8994
0.0660 0.0749 0.9336
0.0697 0.2589 0.7297
0.0749 0.0660 0.4336
0.1238 0.3589 0.1457
0.1350 0.6668 0.8483
0.2589 0.0697 0.2297
0.2600 0.4988 0.4584
0.3143 0.5393 0.2808
0.3332 0.8650 0.6517
0.3589 0.1238 0.6457
0.4607 0.6857 0.2192
0.4988 0.2600 0.9584
0.5012 0.7400 0.0416
0.5393 0.3143 0.7808
0.6411 0.8762 0.3543
0.6668 0.1350 0.3483
0.6857 0.4607 0.7192
0.7400 0.5012 0.5416
0.7411 0.9303 0.7703
0.8650 0.3332 0.1517
0.8762 0.6411 0.8543
0.9251 0.9340 0.5664
0.9303 0.7411 0.2703
0.9340 0.9251 0.0664
```